This entry pairs a crystal structure of La9Fe2Pb3 with its calculated XRD peak list. Radiation: Cu Kα (λ = 1.5418 Å). Structure: a cell relaxed with PBE.

Peak list (6 most intense, 2θ = 10–80°, sorted by position)
d = 3.044 Å, intensity 34, (0 0 3)
d = 3.031 Å, intensity 100, (2 0 1)
d = 2.628 Å, intensity 88, (0 2 2)
d = 1.861 Å, intensity 32, (2 0 4)
d = 1.855 Å, intensity 32, (2 2 0)
d = 1.583 Å, intensity 45, (2 2 3)

Structure:
abc: 7.4201 7.4201 9.1330
angles: 90.00 90.00 120.00
Space group P-3m1 (No. 164)
Inequivalent atoms, fractional coordinates:
La1 0.0000 0.5000 0.0000 x3
La2 0.1658 0.3316 0.6662 x6
Fe1 0.3333 0.6667 0.8170 x2
Pb1 0.0000 0.0000 0.0000 x1
Pb2 0.3333 0.6667 0.3359 x2

=====

This entry pairs a crystal structure of Na3V5Se10 with its calculated XRD peak list. Radiation: Cu Kα (λ = 1.5418 Å). Structure: a cell relaxed with PBE.

Peak list (6 most intense, 2θ = 10–80°, sorted by position)
d = 6.650 Å, intensity 83, (0 1 0)
d = 3.325 Å, intensity 60, (0 2 0)
d = 3.284 Å, intensity 100, (1 0 -2)
d = 2.457 Å, intensity 61, (2 2 3)
d = 2.202 Å, intensity 56, (1 3 2)
d = 1.671 Å, intensity 53, (3 4 1)

Structure:
abc: 7.010 7.238 10.074
angles: 85.72 71.18 66.98
Space group P1 (No. 1)
Inequivalent atoms, fractional coordinates:
Na1 0.000 0.000 0.000 x1
Na2 0.135 0.466 0.835 x1
Na3 0.384 0.217 0.320 x1
V1 0.080 0.792 0.320 x1
V2 0.129 0.880 0.613 x1
V3 0.489 0.567 0.082 x1
V4 0.669 0.773 0.643 x1
V5 0.833 0.495 0.389 x1
Se1 0.001 0.115 0.449 x1
Se2 0.077 0.562 0.517 x1
Se3 0.153 0.514 0.141 x1
Se4 0.288 0.045 0.722 x1
Se5 0.356 0.905 0.141 x1
Se6 0.486 0.561 0.588 x1
Se7 0.665 0.525 0.847 x1
Se8 0.689 0.868 0.384 x1
Se9 0.728 0.370 0.201 x1
Se10 0.803 0.925 0.798 x1

=====

This entry pairs a crystal structure of PuNpPSe with its calculated XRD peak list. Radiation: Cu Kα (λ = 1.5418 Å). Structure: a cell relaxed with PBE.

Peak list (6 most intense, 2θ = 10–80°, sorted by position)
d = 3.310 Å, intensity 54, (0 1 2)
d = 2.873 Å, intensity 100, (1 0 4)
d = 2.038 Å, intensity 37, (0 1 8)
d = 2.025 Å, intensity 38, (1 1 0)
d = 1.731 Å, intensity 18, (1 1 6)
d = 1.655 Å, intensity 20, (0 2 4)

Structure:
abc: 4.0494 4.0494 20.0320
angles: 90.00 90.00 120.00
Space group R3m (No. 160, hexagonal axes)
Inequivalent atoms, fractional coordinates:
Pu1 0.0000 0.0000 0.0000 x3
Np1 0.0000 0.0000 0.4899 x3
P1 0.0000 0.0000 0.7460 x3
Se1 0.0000 0.0000 0.2441 x3